The following is a computed XRD peak list of Ca3Cr2O6. It was derived from DFT lattice parameters and positions (PBE+U), using CuKα.
Peak positions follow from Bragg's law for the DFT cell and can differ from measured ones.

The 12 most intense peaks (2θ = 10–90°), sorted by position:
d/Å  I/Imax
4.718  21
2.740  60
2.704  100
2.213  13
2.066  13
1.938  53
1.887  13
1.844  11
1.575  35
1.554  15
1.370  14
1.352  15

Cell and atoms:
abc: 9.8250 9.8250 9.8250
angles: 157.25 157.25 32.39
Positions (direct):
1 Ca 0.0000 0.0000 0.0000
2 Ca 0.1812 0.1812 0.0000
3 Ca 0.8188 0.8188 0.0000
4 Cr 0.3995 0.3995 0.0000
5 Cr 0.6005 0.6005 0.0000
6 O 0.0829 0.5829 0.5000
7 O 0.2993 0.2993 0.0000
8 O 0.4171 0.9171 0.5000
9 O 0.5829 0.0829 0.5000
10 O 0.7007 0.7007 0.0000
11 O 0.9171 0.4171 0.5000